# Mg6ZnCrO8
Calculated PXRD pattern, Cu Kα. Input: a cell relaxed with PBE+U.
Lines closer than 0.1° are merged.

Atomic structure:
a b c (Å): 4.340 4.340 8.463
angles (deg): 90.00 90.00 90.00
Fractional coordinates of all 16 atoms:
Mg1 0.000 0.000 0.000
Mg2 0.000 0.500 0.251
Mg3 0.000 0.500 0.749
Mg4 0.500 0.000 0.251
Mg5 0.500 0.000 0.749
Mg6 0.500 0.500 0.000
Zn1 0.000 0.000 0.500
Cr1 0.500 0.500 0.500
O1 0.000 0.000 0.245
O2 0.000 0.000 0.755
O3 0.000 0.500 0.000
O4 0.000 0.500 0.500
O5 0.500 0.000 0.000
O6 0.500 0.000 0.500
O7 0.500 0.500 0.251
O8 0.500 0.500 0.749

Peak list (10 most intense, 2θ from 10° to 90°, by intensity)
hkl 2 0 0, 2θ 41.62, d = 2.170 Å, rel. 100; hkl 2 0 4, 2θ 61.18, d = 1.515 Å, rel. 54; hkl 0 0 4, 2θ 42.74, d = 2.116 Å, rel. 46; hkl 0 0 1, 2θ 10.45, d = 8.463 Å, rel. 45; hkl 1 1 2, 2θ 36.15, d = 2.484 Å, rel. 40; hkl 2 2 0, 2θ 60.32, d = 1.535 Å, rel. 29; hkl 2 2 4, 2θ 76.72, d = 1.242 Å, rel. 25; hkl 1 1 1, 2θ 31.00, d = 2.885 Å, rel. 15; hkl 3 1 2, 2θ 72.38, d = 1.306 Å, rel. 13; hkl 0 0 2, 2θ 20.99, d = 4.232 Å, rel. 10